This entry pairs a crystal structure of AcInF2 with its computed XRD peak list. Radiation: Cu Kα, 1.54184 Å. Structure: a structure optimized by DFT (PBE).
Neutral-atom scattering factors, no anomalous dispersion.

Largest 12 diffraction maxima, by intensity, 2θ from 10° to 80°:
d [Å], I/Imax
3.574, 100
2.417, 52
2.654, 49
1.661, 32
2.002, 21
4.005, 20
1.542, 18
1.787, 16
1.437, 15
2.287, 14
1.587, 10
1.396, 9

Atomic structure:
Cell lengths 5.3587, 5.3587, 5.3587 Å; angles 53.63, 53.63, 53.63 degrees
Fractional coordinates of all 4 atoms:
Ac1 0.0000 0.0000 0.0000
In1 0.5000 0.5000 0.5000
F1 0.1742 0.1742 0.1742
F2 0.8258 0.8258 0.8258